Diffraction record for Sr3LaMn4O12. The XRD peak list is simulated, not measured: it uses a structure optimized by DFT (PBE+U) and Cu Kα X-rays.
Kinematic intensities with the Lorentz-polarization factor, no thermal factor.

```
data_Sr3LaMn4O12
_cell_length_a 7.782
_cell_length_b 7.782
_cell_length_c 7.782
_cell_angle_alpha 90.00
_cell_angle_beta 90.00
_cell_angle_gamma 90.00
_space_group_name_H-M_alt 'I m -3 m'
_space_group_IT_number 229
_space_group_name_Hall '-I 4 2 3'
loop_
_atom_site_label
_atom_site_type_symbol
_atom_site_fract_x
_atom_site_fract_y
_atom_site_fract_z
_atom_site_occupancy
Sr1 Sr 0.000 0.000 0.500 1
La1 La 0.000 0.000 0.000 1
Mn1 Mn 0.250 0.250 0.250 1
O1 O 0.000 0.246 0.246 1
```

Main lines, in order of rising 2θ (5 to 70 degrees two-theta):
2θ 16.11, I 5, (1 1 0)
2θ 22.86, I 4, (2 0 0)
2θ 28.09, I 2, (2 1 1)
2θ 32.54, I 100, (2 2 0)
2θ 40.14, I 16, (2 2 2)
2θ 43.51, I 2, (3 2 1)
2θ 46.69, I 37, (4 0 0)
2θ 52.60, I 3, (4 2 0)
2θ 58.07, I 38, (4 2 2)
2θ 68.17, I 21, (4 4 0)